1.
For LaCuPb, a cell relaxed with PBE gives the theoretical XRD peak list in this record (λ = 1.5418 Å (Cu Kα)).

Structural model:
```
data_LaCuPb
_cell_length_a 8.507
_cell_length_b 8.507
_cell_length_c 8.507
_cell_angle_alpha 32.88
_cell_angle_beta 32.88
_cell_angle_gamma 32.88
_space_group_name_H-M_alt 'P 1'
_space_group_IT_number 1
_space_group_name_Hall 'P 1'
loop_
_atom_site_label
_atom_site_fract_x
_atom_site_fract_y
_atom_site_fract_z
_atom_site_occupancy
La1 0.000 0.000 0.000 1
La2 0.500 0.500 0.500 1
Cu1 0.122 0.122 0.122 1
Cu2 0.878 0.878 0.878 1
Pb1 0.249 0.249 0.249 1
Pb2 0.751 0.751 0.751 1
```

Largest 6 diffraction maxima, in order of rising 2θ, 2θ = 15–90°:
two_theta, d/Å, I/Imax
26.0, 3.430, 1000
36.8, 2.443, 930
37.3, 2.408, 897
46.1, 1.971, 222
53.4, 1.715, 318
67.0, 1.397, 321

***

2.
For Li4Cd4Sn3, a cell relaxed with PBE gives the theoretical XRD peak list in this record (λ = 1.5418 Å (Cu Kα)).

Structural model:
```
data_Li4Cd4Sn3
_cell_length_a 3.184
_cell_length_b 4.432
_cell_length_c 16.730
_cell_angle_alpha 97.32
_cell_angle_beta 95.13
_cell_angle_gamma 92.04
_space_group_name_H-M_alt 'P 1'
_space_group_IT_number 1
_space_group_name_Hall 'P 1'
loop_
_atom_site_label
_atom_site_fract_x
_atom_site_fract_y
_atom_site_fract_z
_atom_site_occupancy
Li1 0.045 0.042 0.086 1
Li2 0.315 0.319 0.635 1
Li3 0.685 0.681 0.365 1
Li4 0.955 0.958 0.914 1
Cd1 0.230 0.229 0.458 1
Cd2 0.406 0.410 0.819 1
Cd3 0.594 0.590 0.181 1
Cd4 0.770 0.771 0.542 1
Sn1 0.139 0.138 0.277 1
Sn2 0.500 0.500 0.000 1
Sn3 0.861 0.862 0.723 1
```

Largest 6 diffraction maxima, in order of rising 2θ, 2θ = 15–90°:
two_theta, d/Å, I/Imax
21.6, 4.121, 717
34.1, 2.629, 590
35.3, 2.541, 537
36.1, 2.486, 1000
40.7, 2.215, 505
41.3, 2.184, 686

***

3.
For Cd3AgO4, a cell relaxed with PBE gives the theoretical XRD peak list in this record (λ = 1.5418 Å (Cu Kα)).

Structural model:
```
data_Cd3AgO4
_cell_length_a 4.662
_cell_length_b 7.833
_cell_length_c 6.996
_cell_angle_alpha 90.00
_cell_angle_beta 90.00
_cell_angle_gamma 90.00
_space_group_name_H-M_alt 'P 1'
_space_group_IT_number 1
_space_group_name_Hall 'P 1'
loop_
_atom_site_label
_atom_site_fract_x
_atom_site_fract_y
_atom_site_fract_z
_atom_site_occupancy
Cd1 0.250 0.004 0.165 1
Cd2 0.250 0.250 0.670 1
Cd3 0.250 0.496 0.165 1
Cd4 0.750 0.504 0.835 1
Cd5 0.750 0.750 0.330 1
Cd6 0.750 0.996 0.835 1
Ag1 0.250 0.750 0.655 1
Ag2 0.750 0.250 0.345 1
O1 0.250 0.001 0.840 1
O2 0.250 0.250 0.342 1
O3 0.250 0.499 0.840 1
O4 0.250 0.750 0.329 1
O5 0.750 0.250 0.671 1
O6 0.750 0.501 0.160 1
O7 0.750 0.750 0.658 1
O8 0.750 0.999 0.160 1
```

Largest 6 diffraction maxima, in order of rising 2θ, 2θ = 15–90°:
two_theta, d/Å, I/Imax
26.1, 3.417, 590
32.0, 2.798, 547
32.5, 2.756, 1000
38.6, 2.331, 379
45.3, 2.004, 462
61.0, 1.520, 353

***

4.
For ReBi2B, a cell relaxed with PBE gives the theoretical XRD peak list in this record (λ = 1.5418 Å (Cu Kα)).

Structural model:
```
data_ReBi2B
_cell_length_a 6.949
_cell_length_b 6.949
_cell_length_c 6.949
_cell_angle_alpha 127.64
_cell_angle_beta 127.64
_cell_angle_gamma 77.21
_space_group_name_H-M_alt 'P 1'
_space_group_IT_number 1
_space_group_name_Hall 'P 1'
loop_
_atom_site_label
_atom_site_fract_x
_atom_site_fract_y
_atom_site_fract_z
_atom_site_occupancy
Re1 0.000 0.000 0.000 1
Re2 0.750 0.250 0.500 1
Bi1 0.168 0.625 0.043 1
Bi2 0.375 0.418 0.543 1
Bi3 0.582 0.125 0.957 1
Bi4 0.875 0.832 0.457 1
B1 0.250 0.750 0.500 1
B2 0.500 0.500 0.000 1
```

Largest 6 diffraction maxima, in order of rising 2θ, 2θ = 15–90°:
two_theta, d/Å, I/Imax
26.3, 3.388, 1000
33.7, 2.659, 234
41.7, 2.168, 230
44.6, 2.033, 422
49.9, 1.826, 284
55.0, 1.670, 136

***

5.
For Pa2TcSbC, a cell relaxed with PBE gives the theoretical XRD peak list in this record (λ = 1.5418 Å (Cu Kα)).

Structural model:
```
data_Pa2TcSbC
_cell_length_a 7.251
_cell_length_b 3.847
_cell_length_c 8.160
_cell_angle_alpha 90.00
_cell_angle_beta 112.95
_cell_angle_gamma 90.00
_space_group_name_H-M_alt 'P 1'
_space_group_IT_number 1
_space_group_name_Hall 'P 1'
loop_
_atom_site_label
_atom_site_fract_x
_atom_site_fract_y
_atom_site_fract_z
_atom_site_occupancy
Pa1 0.150 0.250 0.400 1
Pa2 0.212 0.750 0.001 1
Pa3 0.788 0.250 0.999 1
Pa4 0.850 0.750 0.600 1
Tc1 0.202 0.250 0.726 1
Tc2 0.798 0.750 0.274 1
Sb1 0.470 0.750 0.715 1
Sb2 0.530 0.250 0.285 1
C1 0.029 0.750 0.180 1
C2 0.971 0.250 0.820 1
```

Largest 6 diffraction maxima, in order of rising 2θ, 2θ = 15–90°:
two_theta, d/Å, I/Imax
27.1, 3.294, 615
28.0, 3.188, 654
31.4, 2.849, 1000
33.3, 2.688, 402
34.0, 2.636, 760
40.6, 2.223, 697

***

6.
For Na2NdMoN4, a cell relaxed with PBE gives the theoretical XRD peak list in this record (λ = 1.5418 Å (Cu Kα)).

Structural model:
```
data_Na2NdMoN4
_cell_length_a 5.428
_cell_length_b 5.428
_cell_length_c 5.428
_cell_angle_alpha 110.87
_cell_angle_beta 110.87
_cell_angle_gamma 106.71
_space_group_name_H-M_alt 'P 1'
_space_group_IT_number 1
_space_group_name_Hall 'P 1'
loop_
_atom_site_label
_atom_site_fract_x
_atom_site_fract_y
_atom_site_fract_z
_atom_site_occupancy
Na1 0.250 0.750 0.500 1
Na2 0.750 0.250 0.500 1
Nd1 0.000 0.000 0.000 1
Mo1 0.500 0.500 0.000 1
N1 0.151 0.488 0.000 1
N2 0.488 0.151 0.000 1
N3 0.512 0.512 0.662 1
N4 0.849 0.849 0.338 1
```

Largest 6 diffraction maxima, in order of rising 2θ, 2θ = 15–90°:
two_theta, d/Å, I/Imax
20.4, 4.355, 1000
29.0, 3.080, 664
34.5, 2.600, 991
40.4, 2.232, 349
41.5, 2.178, 339
55.0, 1.669, 578

***

7.
For LiAg3Hg3, a cell relaxed with PBE gives the theoretical XRD peak list in this record (λ = 1.5418 Å (Cu Kα)).

Structural model:
```
data_LiAg3Hg3
_cell_length_a 5.353
_cell_length_b 7.030
_cell_length_c 7.737
_cell_angle_alpha 91.60
_cell_angle_beta 91.29
_cell_angle_gamma 109.74
_space_group_name_H-M_alt 'P 1'
_space_group_IT_number 1
_space_group_name_Hall 'P 1'
loop_
_atom_site_label
_atom_site_fract_x
_atom_site_fract_y
_atom_site_fract_z
_atom_site_occupancy
Li1 0.158 0.005 0.243 1
Li2 0.842 0.995 0.757 1
Ag1 0.121 0.565 0.175 1
Ag2 0.309 0.292 0.953 1
Ag3 0.421 0.139 0.618 1
Ag4 0.579 0.861 0.382 1
Ag5 0.691 0.708 0.047 1
Ag6 0.879 0.435 0.825 1
Hg1 0.026 0.738 0.512 1
Hg2 0.243 0.862 0.907 1
Hg3 0.471 0.594 0.684 1
Hg4 0.529 0.406 0.316 1
Hg5 0.757 0.138 0.093 1
Hg6 0.974 0.262 0.488 1
```

Largest 6 diffraction maxima, in order of rising 2θ, 2θ = 15–90°:
two_theta, d/Å, I/Imax
35.3, 2.542, 355
36.4, 2.467, 680
38.0, 2.370, 449
38.6, 2.332, 1000
38.7, 2.326, 522
39.6, 2.274, 311

***

8.
For TbPm3S4, a cell relaxed with PBE gives the theoretical XRD peak list in this record (λ = 1.5418 Å (Cu Kα)).

Structural model:
```
data_TbPm3S4
_cell_length_a 5.669
_cell_length_b 5.669
_cell_length_c 5.669
_cell_angle_alpha 90.00
_cell_angle_beta 90.00
_cell_angle_gamma 90.00
_space_group_name_H-M_alt 'P 1'
_space_group_IT_number 1
_space_group_name_Hall 'P 1'
loop_
_atom_site_label
_atom_site_fract_x
_atom_site_fract_y
_atom_site_fract_z
_atom_site_occupancy
Tb1 0.000 0.000 0.000 1
Pm1 0.000 0.500 0.500 1
Pm2 0.500 0.000 0.500 1
Pm3 0.500 0.500 0.000 1
S1 0.000 0.000 0.500 1
S2 0.000 0.500 0.000 1
S3 0.500 0.000 0.000 1
S4 0.500 0.500 0.500 1
```

Largest 6 diffraction maxima, in order of rising 2θ, 2θ = 15–90°:
two_theta, d/Å, I/Imax
27.2, 3.273, 768
31.6, 2.835, 1000
45.2, 2.004, 723
53.6, 1.709, 380
56.2, 1.637, 251
74.9, 1.268, 321